No. 1
# Ba2MnSi2ClO7
Computed powder X-ray diffraction pattern, λ = 1.5418 Å (Cu Kα). Input: a DFT-relaxed cell (GGA+U, the Materials Project).
Peak positions follow from Bragg's law for the DFT cell and can differ from measured ones.

Atomic structure:
Unit cell a=8.613 b=8.613 c=5.513 alpha=90.00 beta=90.00 gamma=90.00
Space group P4bm (No. 100)
Symmetry-distinct sites (fractional):
Ba  0.171  0.329  0.000
Mn  0.000  0.000  0.615
Si  0.129  0.629  0.522
Cl  0.000  0.000  0.149
O  0.000  0.500  0.631
O  0.079  0.792  0.659
O  0.129  0.629  0.230

Main lines, in order of falling intensity (10 to 80 degrees two-theta):
hkl 2 1 1, 28.26 deg, rel. 100; hkl 3 1 0, 32.88 deg, rel. 29; hkl 2 0 1, 26.26 deg, rel. 28; hkl 2 1 2, 40.23 deg, rel. 23; hkl 0 0 1, 16.08 deg, rel. 16; hkl 4 1 1, 46.49 deg, rel. 16; hkl 4 1 0, 43.31 deg, rel. 15; hkl 2 1 0, 23.09 deg, rel. 15; hkl 0 0 2, 32.48 deg, rel. 15; hkl 2 1 3, 55.39 deg, rel. 13

No. 2
# Ba10Ru3WCl4O18
Computed powder X-ray diffraction pattern, λ = 1.5418 Å (Cu Kα). Input: a DFT-relaxed cell (GGA+U, the Materials Project).
Peak positions follow from Bragg's law for the DFT cell and can differ from measured ones.

Atomic structure:
Unit cell a=5.9628 b=5.9628 c=25.1102 alpha=90.00 beta=90.00 gamma=120.00
Space group P3m1 (No. 156)
Symmetry-distinct sites (fractional):
Ba  0.0000  0.0000  0.0000
Ba  0.0000  0.0000  0.1574
Ba  0.0000  0.0000  0.4113
Ba  0.0000  0.0000  0.5725
Ba  0.0000  0.0000  0.7463
Ba  0.6667  0.3333  0.0788
Ba  0.6667  0.3333  0.2468
Ba  0.6667  0.3333  0.4976
Ba  0.6667  0.3333  0.6583
Ba  0.6667  0.3333  0.9115
Ru  0.3333  0.6667  0.0218
Ru  0.3333  0.6667  0.1354
Ru  0.3333  0.6667  0.5245
W  0.3333  0.6667  0.6324
Cl  0.0000  0.0000  0.2822
Cl  0.0000  0.0000  0.8735
Cl  0.6667  0.3333  0.3738
Cl  0.6667  0.3333  0.7819
O  0.0144  0.5072  0.1734
O  0.0149  0.5074  0.9833
O  0.0199  0.5099  0.5812
O  0.1737  0.3474  0.4848
O  0.1762  0.3524  0.6722
O  0.1830  0.3659  0.0784

Main lines, in order of falling intensity (10 to 80 degrees two-theta):
hkl 1 1 0, 29.97 deg, rel. 100; hkl 0 1 7, 30.34 deg, rel. 49; hkl 0 1 5, 24.73 deg, rel. 37; hkl 2 0 7, 43.18 deg, rel. 32; hkl 2 0 5, 39.23 deg, rel. 26; hkl 0 1 2, 18.58 deg, rel. 24; hkl 1 1 8, 41.79 deg, rel. 21; hkl 3 0 0, 53.21 deg, rel. 20; hkl 1 2 7, 53.44 deg, rel. 19; hkl 2 2 0, 62.28 deg, rel. 17